Entry 1:
# HfPa2S5
Theoretical powder diffractogram, Cu Kα (weighted mean of Kα1 and Kα2). Input: the PBE geometry in Alexandria.

Crystal structure
```
HfPa2S5
1.0
11.464 0.000 0.000
0.000 7.724 0.000
0.000 0.000 7.194
Hf Pa S
4 8 20
direct
0.001 0.250 0.083
0.499 0.750 0.583
0.501 0.250 0.417
0.999 0.750 0.917
0.178 0.001 0.467
0.178 0.499 0.467
0.322 0.501 0.967
0.322 0.999 0.967
0.678 0.001 0.033
0.678 0.499 0.033
0.822 0.501 0.533
0.822 0.999 0.533
0.001 0.750 0.545
0.090 0.039 0.834
0.090 0.461 0.834
0.183 0.750 0.162
0.214 0.250 0.189
0.286 0.750 0.689
0.317 0.250 0.662
0.410 0.539 0.334
0.410 0.961 0.334
0.499 0.250 0.045
0.501 0.750 0.955
0.590 0.039 0.666
0.590 0.461 0.666
0.683 0.750 0.338
0.714 0.250 0.311
0.786 0.750 0.811
0.817 0.250 0.838
0.910 0.539 0.166
0.910 0.961 0.166
0.999 0.250 0.455
```

Top 6 peaks for 5 to 70 degrees two-theta, by angle:
2θ (°), intensity
24.8, 45.1
26.4, 100.0
27.3, 59.5
27.9, 54.9
37.6, 51.6
47.8, 40.8



Entry 2:
# Pm4Ga2H
Theoretical powder diffractogram, Cu Kα (weighted mean of Kα1 and Kα2). Input: the PBE geometry in Alexandria.

Crystal structure
```
Pm4Ga2H
1.0
6.311 0.000 0.000
0.000 6.721 0.000
-3.158 0.000 8.371
Pm Ga H
8 4 2
direct
0.026 0.003 0.269
0.026 0.497 0.269
0.405 0.250 0.079
0.429 0.250 0.627
0.571 0.750 0.373
0.595 0.750 0.921
0.974 0.503 0.731
0.974 0.997 0.731
0.192 0.750 0.043
0.270 0.750 0.577
0.730 0.250 0.423
0.808 0.250 0.957
0.237 0.250 0.805
0.763 0.750 0.195
```

Top 6 peaks for 5 to 70 degrees two-theta, by angle:
2θ (°), intensity
30.2, 100.0
30.6, 75.8
33.1, 63.0
34.2, 93.2
40.3, 30.1
51.5, 40.0